(1)
Starting from a crystal structure in OQMD, relaxed with PBE, the powder XRD pattern of Pr2Nd2CBr3Cl2 was computed for Cu Ka.
Kinematic intensities with the Lorentz-polarization factor, no thermal factor.

Atomic structure:
```
data_Pr2Nd2CBr3Cl2
_space_group_name_H-M_alt 'C 1 2/m 1'
_space_group_IT_number 12
_space_group_name_Hall '-C 2y'
_cell_length_a 17.890
_cell_length_b 3.966
_cell_length_c 8.488
_cell_angle_alpha 90.00
_cell_angle_beta 103.71
_cell_angle_gamma 90.00
loop_
_atom_site_label
_atom_site_fract_x
_atom_site_fract_y
_atom_site_fract_z
Pr1 0.003 0.000 0.294
Nd1 0.145 0.500 0.580
C1 0.000 0.500 0.500
Br1 0.000 0.500 0.000
Br2 0.169 0.000 0.845
Cl1 0.172 0.000 0.353
```

The 10 most intense peaks (2θ from 10° to 80°), by angle:
index, 2θ (°), I_rel
2 0 0, 10.18, 19.4
0 0 1, 10.73, 25.5
4 0 -1, 20.73, 14.9
3 1 -1, 27.95, 15.6
3 1 1, 30.71, 23.8
1 1 -2, 30.86, 100.0
4 0 -3, 34.26, 17.9
2 0 3, 36.55, 11.8
7 1 -2, 44.21, 39.7
0 2 0, 45.75, 12.6

(2)
Starting from a crystal structure in OQMD, relaxed with PBE, the powder XRD pattern of Cu14Te was computed for Cu Ka.
Kinematic intensities with the Lorentz-polarization factor, no thermal factor.

Atomic structure:
```
data_Cu14Te
_space_group_name_H-M_alt 'P 1 21/m 1'
_space_group_IT_number 11
_space_group_name_Hall '-P 2yb'
_cell_length_a 10.689
_cell_length_b 2.638
_cell_length_c 26.701
_cell_angle_alpha 90.00
_cell_angle_beta 90.59
_cell_angle_gamma 90.00
loop_
_atom_site_label
_atom_site_fract_x
_atom_site_fract_y
_atom_site_fract_z
Cu1 0.026 0.250 0.101
Cu2 0.029 0.250 0.819
Cu3 0.083 0.750 0.023
Cu4 0.140 0.250 0.945
Cu5 0.193 0.750 0.147
Cu6 0.194 0.750 0.867
Cu7 0.250 0.250 0.070
Cu8 0.253 0.250 0.792
Cu9 0.306 0.750 0.992
Cu10 0.360 0.250 0.194
Cu11 0.362 0.250 0.914
Cu12 0.418 0.750 0.117
Cu13 0.421 0.750 0.834
Cu14 0.472 0.250 0.039
Te1 0.144 0.250 0.244
```

The 10 most intense peaks (2θ from 10° to 80°), by angle:
index, 2θ (°), I_rel
1 1 6, 40.69, 50.0
3 0 -10, 42.08, 42.5
1 1 7, 42.57, 100.0
5 0 3, 43.65, 39.9
5 0 4, 44.64, 35.7
1 1 8, 44.65, 35.7
3 0 -11, 44.98, 32.5
4 1 -3, 49.56, 54.2
4 1 -4, 50.40, 49.6
2 0 14, 51.01, 24.2

(3)
Starting from a crystal structure in OQMD, relaxed with PBE, the powder XRD pattern of PrGeHO4 was computed for Cu Ka.
Kinematic intensities with the Lorentz-polarization factor, no thermal factor.

Atomic structure:
```
data_PrGeHO4
_space_group_name_H-M_alt 'P n m a'
_space_group_IT_number 62
_space_group_name_Hall '-P 2ac 2n'
_cell_length_a 9.356
_cell_length_b 6.885
_cell_length_c 5.128
_cell_angle_alpha 90.00
_cell_angle_beta 90.00
_cell_angle_gamma 90.00
loop_
_atom_site_label
_atom_site_fract_x
_atom_site_fract_y
_atom_site_fract_z
Pr1 0.212 0.250 0.199
Ge1 0.037 0.750 0.220
H1 0.000 0.000 0.500
O1 0.062 0.750 0.884
O2 0.111 0.547 0.391
O3 0.149 0.250 0.741
```

The 10 most intense peaks (2θ from 10° to 80°), by angle:
index, 2θ (°), I_rel
2 0 1, 25.78, 18.9
0 2 0, 25.88, 54.2
2 1 1, 28.91, 100.0
0 0 2, 35.00, 18.2
4 1 0, 40.74, 27.5
0 2 2, 44.03, 23.7
2 3 1, 47.56, 24.8
0 4 0, 53.21, 9.9
4 1 2, 54.77, 13.2
6 2 1, 68.55, 13.3

(4)
Starting from a crystal structure in OQMD, relaxed with PBE, the powder XRD pattern of TlHg3PbSe4 was computed for Cu Ka.
Kinematic intensities with the Lorentz-polarization factor, no thermal factor.

Atomic structure:
```
data_TlHg3PbSe4
_space_group_name_H-M_alt 'P -4 3 m'
_space_group_IT_number 215
_space_group_name_Hall 'P -4 2 3'
_cell_length_a 6.799
_cell_length_b 6.799
_cell_length_c 6.799
_cell_angle_alpha 90.00
_cell_angle_beta 90.00
_cell_angle_gamma 90.00
loop_
_atom_site_label
_atom_site_fract_x
_atom_site_fract_y
_atom_site_fract_z
Tl1 0.000 0.000 0.000
Hg1 0.000 0.500 0.500
Pb1 0.500 0.500 0.500
Se1 0.257 0.257 0.257
```

The 10 most intense peaks (2θ from 10° to 80°), by angle:
index, 2θ (°), I_rel
1 0 0, 13.02, 16.5
1 1 0, 18.45, 13.7
1 1 1, 22.65, 62.4
2 0 0, 26.21, 33.2
2 2 0, 37.41, 100.0
3 1 1, 44.18, 32.7
4 0 0, 53.94, 17.5
3 3 1, 59.24, 13.7
4 2 0, 60.94, 14.0
4 2 2, 67.48, 35.9